Entry 1:
The following is a theoretical powder diffraction line list of TbPrTlPb. It was derived from a DFT-relaxed cell (GGA-PBE, Alexandria), using Cu Ka.

Crystal structure
Cell lengths 5.107, 5.107, 8.968 Å; angles 90.00, 90.00, 90.00 degrees
Atoms (fractional coordinates):
Tb: 0.000 0.000 0.000
Tb: 0.500 0.500 0.500
Pr: 0.000 0.000 0.500
Pr: 0.500 0.500 0.000
Tl: 0.000 0.500 0.750
Tl: 0.500 0.000 0.250
Pb: 0.000 0.500 0.250
Pb: 0.500 0.000 0.750

Principal peaks in the range 2θ from 10° to 90°, in order of rising 2θ:
| Position (°2θ) | Rel. int. |
| --- | --- |
| 31.82 | 100 |
| 35.15 | 38 |
| 40.22 | 13 |
| 50.55 | 14 |
| 54.46 | 22 |
| 60.98 | 32 |
| 66.49 | 12 |
| 89.30 | 12 |

Entry 2:
The following is a theoretical powder diffraction line list of TlZn2Cu. It was derived from a DFT-relaxed cell (GGA-PBE, Alexandria), using Cu Ka.

Crystal structure
Cell lengths 2.901, 4.935, 10.236 Å; angles 90.00, 90.00, 90.00 degrees
Atoms (fractional coordinates):
Tl: 0.000 0.000 0.000
Tl: 0.500 0.500 0.500
Zn: 0.000 0.500 0.211
Zn: 0.000 0.500 0.789
Zn: 0.500 0.000 0.289
Zn: 0.500 0.000 0.711
Cu: 0.000 0.000 0.500
Cu: 0.500 0.500 0.000

Principal peaks in the range 2θ from 10° to 90°, in order of rising 2θ:
| Position (°2θ) | Rel. int. |
| --- | --- |
| 17.33 | 26 |
| 19.97 | 16 |
| 31.89 | 30 |
| 35.06 | 28 |
| 36.41 | 36 |
| 40.13 | 100 |
| 51.44 | 19 |
| 68.02 | 22 |

Entry 3:
The following is a theoretical powder diffraction line list of La2HoEr5Tm. It was derived from a DFT-relaxed cell (GGA-PBE, Alexandria), using Cu Ka.

Crystal structure
Cell lengths 10.271, 10.271, 10.679 Å; angles 90.00, 90.00, 148.31 degrees
Atoms (fractional coordinates):
La: 0.112 0.888 0.500
La: 0.115 0.885 0.085
La: 0.885 0.115 0.585
La: 0.888 0.112 0.000
Ho: 0.201 0.799 0.777
Ho: 0.799 0.201 0.277
Er: 0.017 0.983 0.791
Er: 0.282 0.718 0.072
Er: 0.300 0.700 0.472
Er: 0.389 0.611 0.787
Er: 0.480 0.520 0.505
Er: 0.520 0.480 0.005
Er: 0.611 0.389 0.287
Er: 0.700 0.300 0.972
Er: 0.718 0.282 0.572
Er: 0.983 0.017 0.291
Tm: 0.413 0.587 0.228
Tm: 0.587 0.413 0.728

Principal peaks in the range 2θ from 10° to 90°, in order of rising 2θ:
| Position (°2θ) | Rel. int. |
| --- | --- |
| 28.36 | 16 |
| 30.08 | 34 |
| 31.91 | 41 |
| 32.39 | 100 |
| 33.57 | 14 |
| 57.16 | 20 |
| 59.99 | 13 |
| 61.40 | 12 |

Entry 4:
The following is a theoretical powder diffraction line list of LaTa2C. It was derived from a DFT-relaxed cell (GGA-PBE, Alexandria), using Cu Ka.

Crystal structure
Cell lengths 6.489, 6.489, 9.193 Å; angles 90.00, 90.00, 90.00 degrees
Atoms (fractional coordinates):
La: 0.000 0.250 0.375
La: 0.000 0.750 0.625
La: 0.500 0.250 0.125
La: 0.500 0.750 0.875
Ta: 0.000 0.000 0.000
Ta: 0.000 0.500 0.000
Ta: 0.250 0.250 0.750
Ta: 0.250 0.750 0.250
Ta: 0.500 0.000 0.500
Ta: 0.500 0.500 0.500
Ta: 0.750 0.250 0.750
Ta: 0.750 0.750 0.250
C: 0.000 0.250 0.875
C: 0.000 0.750 0.125
C: 0.500 0.250 0.625
C: 0.500 0.750 0.375

Principal peaks in the range 2θ from 10° to 90°, in order of rising 2θ:
| Position (°2θ) | Rel. int. |
| --- | --- |
| 16.72 | 19 |
| 27.47 | 24 |
| 32.34 | 100 |
| 33.82 | 53 |
| 51.73 | 36 |
| 56.71 | 36 |
| 67.69 | 22 |
| 80.36 | 13 |

Entry 5:
The following is a theoretical powder diffraction line list of Ac5RhAu2N. It was derived from a DFT-relaxed cell (GGA-PBE, Alexandria), using Cu Ka.

Crystal structure
Cell lengths 9.689, 9.689, 13.968 Å; angles 90.00, 90.00, 154.39 degrees
Atoms (fractional coordinates):
Ac: 0.004 0.996 0.500
Ac: 0.144 0.856 0.735
Ac: 0.185 0.815 0.107
Ac: 0.213 0.787 0.401
Ac: 0.457 0.543 0.737
Ac: 0.543 0.457 0.237
Ac: 0.787 0.213 0.901
Ac: 0.815 0.185 0.607
Ac: 0.856 0.144 0.235
Ac: 0.996 0.004 0.000
Rh: 0.295 0.705 0.755
Rh: 0.705 0.295 0.255
Au: 0.369 0.631 0.054
Au: 0.389 0.611 0.409
Au: 0.611 0.389 0.909
Au: 0.631 0.369 0.554
N: 0.054 0.946 0.150
N: 0.946 0.054 0.650

Principal peaks in the range 2θ from 10° to 90°, in order of rising 2θ:
| Position (°2θ) | Rel. int. |
| --- | --- |
| 26.89 | 22 |
| 28.21 | 36 |
| 28.67 | 100 |
| 29.07 | 39 |
| 31.53 | 21 |
| 34.11 | 33 |
| 42.07 | 25 |
| 47.55 | 19 |

Entry 6:
The following is a theoretical powder diffraction line list of TiFeSi2. It was derived from a DFT-relaxed cell (GGA-PBE, Alexandria), using Cu Ka.

Crystal structure
Cell lengths 8.569, 9.520, 7.580 Å; angles 90.00, 90.00, 90.00 degrees
Atoms (fractional coordinates):
Ti: 0.168 0.180 0.000
Ti: 0.174 0.451 0.239
Ti: 0.174 0.451 0.761
Ti: 0.326 0.951 0.239
Ti: 0.326 0.951 0.761
Ti: 0.332 0.680 0.000
Ti: 0.668 0.320 0.000
Ti: 0.674 0.049 0.239
Ti: 0.674 0.049 0.761
Ti: 0.826 0.549 0.239
Ti: 0.826 0.549 0.761
Ti: 0.832 0.820 0.000
Fe: 0.000 0.000 0.244
Fe: 0.000 0.000 0.756
Fe: 0.089 0.742 0.249
Fe: 0.089 0.742 0.751
Fe: 0.411 0.242 0.249
Fe: 0.411 0.242 0.751
Fe: 0.500 0.500 0.244
Fe: 0.500 0.500 0.756
Fe: 0.589 0.758 0.249
Fe: 0.589 0.758 0.751
Fe: 0.911 0.258 0.249
Fe: 0.911 0.258 0.751
Si: 0.038 0.620 0.000
Si: 0.040 0.622 0.500
Si: 0.121 0.901 0.500
Si: 0.126 0.896 0.000
Si: 0.162 0.181 0.345
Si: 0.162 0.181 0.655
Si: 0.338 0.681 0.345
Si: 0.338 0.681 0.655
Si: 0.374 0.396 0.000
Si: 0.379 0.401 0.500
Si: 0.460 0.122 0.500
Si: 0.462 0.120 0.000
Si: 0.538 0.880 0.000
Si: 0.540 0.878 0.500
Si: 0.621 0.599 0.500
Si: 0.626 0.604 0.000
Si: 0.662 0.319 0.345
Si: 0.662 0.319 0.655
Si: 0.838 0.819 0.345
Si: 0.838 0.819 0.655
Si: 0.874 0.104 0.000
Si: 0.879 0.099 0.500
Si: 0.960 0.378 0.500
Si: 0.962 0.380 0.000

Principal peaks in the range 2θ from 10° to 90°, in order of rising 2θ:
| Position (°2θ) | Rel. int. |
| --- | --- |
| 23.47 | 36 |
| 39.29 | 43 |
| 40.67 | 95 |
| 42.59 | 65 |
| 42.74 | 100 |
| 43.29 | 43 |
| 44.98 | 72 |
| 48.01 | 43 |